For CePr5Nd8, the GGA-PBE geometry in Alexandria gives the theoretical XRD peak list in this record (copper Kα).
Kinematic intensities with the Lorentz-polarization factor, no thermal factor.

The 10 most intense peaks (15° ≤ 2θ ≤ 90°), most intense first:
d [Å]  I_rel
2.819  100.0
2.977  83.0
2.932  65.4
2.897  58.1
2.963  46.8
3.644  32.3
1.567  24.1
1.488  21.3
3.793  19.3
2.857  18.5

Cell and atoms:
```
data_CePr5Nd8
_chemical_formula_sum 'Ce2 Pr10 Nd16'
_cell_length_a 12.588
_cell_length_b 11.918
_cell_length_c 9.196
_cell_angle_alpha 90.00
_cell_angle_beta 132.90
_cell_angle_gamma 90.00
_symmetry_space_group_name_H-M 'C 1 2 1'
_symmetry_Int_Tables_number 5
_symmetry_space_group_name_Hall 'C 2y'
loop_
_atom_site_label
_atom_site_fract_x
_atom_site_fract_y
_atom_site_fract_z
Ce1 0.000 0.000 0.000
Pr1 0.000 0.052 0.500
Pr2 0.138 0.532 0.947
Pr3 0.183 0.575 0.573
Nd1 0.066 0.823 0.800
Nd2 0.070 0.233 0.856
Nd3 0.228 0.363 0.316
Nd4 0.249 0.761 0.310
```